(1)
The following is a computed powder diffraction line list of Ca2Bi2O. It was derived from the PBE geometry in Alexandria, using copper Kα.

Largest 12 diffraction maxima, in order of rising 2θ, 2θ from 15° to 90°:
27.31 deg, intensity 35
29.42 deg, intensity 41
30.60 deg, intensity 33
31.09 deg, intensity 23
34.06 deg, intensity 100
40.57 deg, intensity 25
42.97 deg, intensity 27
55.22 deg, intensity 25
60.38 deg, intensity 32
68.31 deg, intensity 11
76.34 deg, intensity 16
86.91 deg, intensity 12

Crystal structure
```
data_Ca2Bi2O
_chemical_formula_sum 'Ca4 Bi4 O2'
_space_group_name_H-M_alt 'P 4/m b m'
_space_group_IT_number 127
_space_group_name_Hall '-P 4 2ab'
_cell_length_a 6.532
_cell_length_b 6.532
_cell_length_c 6.071
_cell_angle_alpha 90.00
_cell_angle_beta 90.00
_cell_angle_gamma 90.00
loop_
_atom_site_label
_atom_site_type_symbol
_atom_site_fract_x
_atom_site_fract_y
_atom_site_fract_z
_atom_site_occupancy
Ca1 Ca 0.196 0.304 0.000 1
Bi1 Bi 0.178 0.678 0.500 1
O1 O 0.000 0.000 0.000 1
```



(2)
The following is a computed powder diffraction line list of CaBi2O4. It was derived from the PBE geometry in Alexandria, using copper Kα.

Largest 12 diffraction maxima, in order of rising 2θ, 2θ from 15° to 90°:
29.06 deg, intensity 38
29.62 deg, intensity 25
29.76 deg, intensity 92
32.73 deg, intensity 49
33.37 deg, intensity 100
39.20 deg, intensity 13
42.06 deg, intensity 26
42.57 deg, intensity 46
51.94 deg, intensity 29
54.31 deg, intensity 23
60.99 deg, intensity 18
63.94 deg, intensity 15

Crystal structure
```
data_CaBi2O4
_chemical_formula_sum 'Ca4 Bi8 O16'
_space_group_name_H-M_alt 'P m m n'
_space_group_IT_number 59
_cell_length_a 6.879
_cell_length_b 12.018
_cell_length_c 6.146
_cell_angle_alpha 90.00
_cell_angle_beta 90.00
_cell_angle_gamma 90.00
loop_
_space_group_symop_operation_xyz
'x,y,z'
'-x,-y,-z'
'-x+1/2,-y+1/2,z'
'x+1/2,y+1/2,-z'
'x+1/2,-y,-z'
'-x+1/2,y,z'
'-x,y+1/2,-z'
'x,-y+1/2,z'
loop_
_atom_site_label
_atom_site_type_symbol
_atom_site_fract_x
_atom_site_fract_y
_atom_site_fract_z
_atom_site_occupancy
Ca1 Ca 0.250 0.250 0.002 1
Ca2 Ca 0.250 0.750 0.364 1
Bi1 Bi 0.000 0.000 0.500 1
Bi2 Bi 0.250 0.538 0.003 1
O1 O 0.010 0.625 0.178 1
O2 O 0.250 0.094 0.273 1
O3 O 0.250 0.615 0.626 1
```



(3)
The following is a computed powder diffraction line list of CaBi4O9. It was derived from the PBE geometry in Alexandria, using copper Kα.

Largest 12 diffraction maxima, in order of rising 2θ, 2θ from 15° to 90°:
18.72 deg, intensity 13
26.77 deg, intensity 100
28.99 deg, intensity 81
31.08 deg, intensity 22
32.77 deg, intensity 23
33.09 deg, intensity 21
44.36 deg, intensity 18
45.79 deg, intensity 25
46.03 deg, intensity 25
50.03 deg, intensity 13
53.65 deg, intensity 17
54.06 deg, intensity 24

Crystal structure
```
data_CaBi4O9
_chemical_formula_sum 'Ca2 Bi8 O18'
_space_group_name_H-M_alt 'P 1 2/c 1'
_space_group_IT_number 13
_cell_length_a 8.394
_cell_length_b 5.754
_cell_length_c 11.642
_cell_angle_alpha 90.00
_cell_angle_beta 130.35
_cell_angle_gamma 90.00
loop_
_space_group_symop_operation_xyz
'x,y,z'
'-x,-y,-z'
'-x,y,-z+1/2'
'x,-y,z+1/2'
loop_
_atom_site_label
_atom_site_type_symbol
_atom_site_fract_x
_atom_site_fract_y
_atom_site_fract_z
_atom_site_occupancy
Ca1 Ca 0.000 0.241 0.250 1
Bi1 Bi 0.204 0.303 0.053 1
Bi2 Bi 0.393 0.248 0.859 1
O1 O 0.105 0.423 0.638 1
O2 O 0.190 0.077 0.183 1
O3 O 0.278 0.044 0.961 1
O4 O 0.291 0.480 0.446 1
O5 O 0.500 0.452 0.250 1
```



(4)
The following is a computed powder diffraction line list of Ca2Bi10O17. It was derived from the PBE geometry in Alexandria, using copper Kα.

Largest 12 diffraction maxima, in order of rising 2θ, 2θ from 15° to 90°:
26.51 deg, intensity 56
27.70 deg, intensity 100
28.44 deg, intensity 70
28.79 deg, intensity 62
29.32 deg, intensity 61
30.04 deg, intensity 33
30.17 deg, intensity 38
30.78 deg, intensity 31
44.97 deg, intensity 33
46.27 deg, intensity 29
46.53 deg, intensity 29
54.62 deg, intensity 35

Crystal structure
```
data_Ca2Bi10O17
_chemical_formula_sum 'Ca2 Bi10 O17'
_space_group_name_H-M_alt 'P 1'
_space_group_IT_number 1
_cell_length_a 7.810
_cell_length_b 7.854
_cell_length_c 9.908
_cell_angle_alpha 90.16
_cell_angle_beta 101.24
_cell_angle_gamma 118.04
loop_
_space_group_symop_operation_xyz
'x,y,z'
loop_
_atom_site_label
_atom_site_type_symbol
_atom_site_fract_x
_atom_site_fract_y
_atom_site_fract_z
_atom_site_occupancy
Ca1 Ca 0.000 0.000 0.000 1
Ca2 Ca 0.494 0.493 0.999 1
Bi1 Bi 0.218 0.107 0.661 1
Bi2 Bi 0.228 0.640 0.659 1
Bi3 Bi 0.255 0.871 0.307 1
Bi4 Bi 0.268 0.376 0.309 1
Bi5 Bi 0.500 0.981 0.976 1
Bi6 Bi 0.687 0.098 0.658 1
Bi7 Bi 0.729 0.592 0.649 1
Bi8 Bi 0.760 0.877 0.311 1
Bi9 Bi 0.761 0.376 0.303 1
Bi10 Bi 0.986 0.493 0.960 1
O1 O 0.034 0.790 0.585 1
O2 O 0.084 0.042 0.289 1
O3 O 0.098 0.539 0.325 1
O4 O 0.176 0.823 0.091 1
O5 O 0.195 0.345 0.095 1
O6 O 0.273 0.161 0.878 1
O7 O 0.316 0.655 0.884 1
O8 O 0.400 0.959 0.730 1
O9 O 0.497 0.256 0.585 1
O10 O 0.553 0.760 0.604 1
O11 O 0.585 0.043 0.302 1
O12 O 0.594 0.548 0.284 1
O13 O 0.692 0.846 0.094 1
O14 O 0.706 0.350 0.088 1
O15 O 0.780 0.115 0.882 1
O16 O 0.789 0.643 0.872 1
O17 O 0.927 0.433 0.724 1
```



(5)
The following is a computed powder diffraction line list of Ca3Bi2O. It was derived from the PBE geometry in Alexandria, using copper Kα.

Largest 12 diffraction maxima, in order of rising 2θ, 2θ from 15° to 90°:
19.09 deg, intensity 28
21.64 deg, intensity 44
23.98 deg, intensity 32
25.13 deg, intensity 48
27.13 deg, intensity 26
29.07 deg, intensity 25
29.92 deg, intensity 100
33.40 deg, intensity 67
35.01 deg, intensity 75
39.46 deg, intensity 44
54.26 deg, intensity 39
60.79 deg, intensity 26

Crystal structure
```
data_Ca3Bi2O
_chemical_formula_sum 'Ca12 Bi8 O4'
_space_group_name_H-M_alt 'C m c m'
_space_group_IT_number 63
_space_group_name_Hall '-C 2c 2'
_cell_length_a 3.754
_cell_length_b 24.646
_cell_length_c 7.086
_cell_angle_alpha 90.00
_cell_angle_beta 90.00
_cell_angle_gamma 90.00
loop_
_atom_site_label
_atom_site_type_symbol
_atom_site_fract_x
_atom_site_fract_y
_atom_site_fract_z
_atom_site_occupancy
Ca1 Ca 0.000 0.094 0.006 1
Ca2 Ca 0.000 0.299 0.750 1
Bi1 Bi 0.000 0.318 0.250 1
Bi2 Bi 0.000 0.499 0.750 1
O1 O 0.000 0.149 0.250 1
```



(6)
The following is a computed powder diffraction line list of Ca2Bi10O17. It was derived from the PBE geometry in Alexandria, using copper Kα.

Largest 12 diffraction maxima, in order of rising 2θ, 2θ from 15° to 90°:
17.78 deg, intensity 18
26.80 deg, intensity 51
26.93 deg, intensity 51
27.61 deg, intensity 100
31.56 deg, intensity 80
44.24 deg, intensity 12
45.16 deg, intensity 28
45.33 deg, intensity 33
46.17 deg, intensity 16
53.02 deg, intensity 13
53.86 deg, intensity 16
54.22 deg, intensity 29

Crystal structure
```
data_Ca2Bi10O17
_chemical_formula_sum 'Ca4 Bi20 O34'
_space_group_name_H-M_alt 'C 1 m 1'
_space_group_IT_number 8
_cell_length_a 13.946
_cell_length_b 7.865
_cell_length_c 9.982
_cell_angle_alpha 90.00
_cell_angle_beta 91.10
_cell_angle_gamma 90.00
loop_
_space_group_symop_operation_xyz
'x,y,z'
'x,-y,z'
'x+1/2,y+1/2,z'
'x+1/2,-y+1/2,z'
loop_
_atom_site_label
_atom_site_type_symbol
_atom_site_fract_x
_atom_site_fract_y
_atom_site_fract_z
_atom_site_occupancy
Ca1 Ca 0.000 0.000 0.000 1
Ca2 Ca 0.001 0.500 0.987 1
Bi1 Bi 0.083 0.246 0.316 1
Bi2 Bi 0.161 0.000 0.708 1
Bi3 Bi 0.170 0.500 0.697 1
Bi4 Bi 0.259 0.256 0.998 1
Bi5 Bi 0.330 0.500 0.337 1
Bi6 Bi 0.340 0.000 0.323 1
Bi7 Bi 0.407 0.267 0.696 1
O1 O 0.004 0.000 0.741 1
O2 O 0.010 0.500 0.744 1
O3 O 0.070 0.255 0.110 1
O4 O 0.158 0.500 0.339 1
O5 O 0.167 0.000 0.919 1
O6 O 0.178 0.000 0.321 1
O7 O 0.185 0.500 0.913 1
O8 O 0.242 0.238 0.747 1
O9 O 0.331 0.500 0.617 1
O10 O 0.335 0.500 0.120 1
O11 O 0.350 0.000 0.115 1
O12 O 0.405 0.265 0.909 1
O13 O 0.419 0.258 0.351 1
```



(7)
The following is a computed powder diffraction line list of CaBi2O4. It was derived from the PBE geometry in Alexandria, using copper Kα.

Largest 12 diffraction maxima, in order of rising 2θ, 2θ from 15° to 90°:
22.92 deg, intensity 61
26.24 deg, intensity 13
26.79 deg, intensity 36
27.23 deg, intensity 19
27.67 deg, intensity 100
28.99 deg, intensity 42
31.83 deg, intensity 26
32.38 deg, intensity 35
44.60 deg, intensity 13
46.17 deg, intensity 24
47.45 deg, intensity 21
54.18 deg, intensity 18

Crystal structure
```
data_CaBi2O4
_chemical_formula_sum 'Ca16 Bi32 O64'
_space_group_name_H-M_alt 'C 1 2/c 1'
_space_group_IT_number 15
_cell_length_a 17.054
_cell_length_b 11.805
_cell_length_c 12.561
_cell_angle_alpha 90.00
_cell_angle_beta 125.03
_cell_angle_gamma 90.00
loop_
_space_group_symop_operation_xyz
'x,y,z'
'-x,-y,-z'
'-x,y,-z+1/2'
'x,-y,z+1/2'
'x+1/2,y+1/2,z'
'-x+1/2,-y+1/2,-z'
'-x+1/2,y+1/2,-z+1/2'
'x+1/2,-y+1/2,z+1/2'
loop_
_atom_site_label
_atom_site_type_symbol
_atom_site_fract_x
_atom_site_fract_y
_atom_site_fract_z
_atom_site_occupancy
Ca1 Ca 0.047 0.098 0.419 1
Ca2 Ca 0.204 0.211 0.338 1
Bi1 Bi 0.062 0.407 0.437 1
Bi2 Bi 0.087 0.262 0.996 1
Bi3 Bi 0.146 0.098 0.765 1
Bi4 Bi 0.190 0.459 0.781 1
O1 O 0.004 0.110 0.927 1
O2 O 0.050 0.378 0.598 1
O3 O 0.065 0.285 0.144 1
O4 O 0.101 0.061 0.284 1
O5 O 0.146 0.269 0.458 1
O6 O 0.186 0.074 0.632 1
O7 O 0.199 0.491 0.618 1
O8 O 0.230 0.192 0.169 1
```



(8)
The following is a computed powder diffraction line list of CaBi2P2O10. It was derived from the PBE geometry in Alexandria, using copper Kα.

Largest 12 diffraction maxima, in order of rising 2θ, 2θ from 15° to 90°:
21.16 deg, intensity 35
22.67 deg, intensity 29
22.85 deg, intensity 62
27.79 deg, intensity 100
28.01 deg, intensity 44
31.21 deg, intensity 34
34.57 deg, intensity 27
34.69 deg, intensity 18
43.10 deg, intensity 32
46.68 deg, intensity 31
50.35 deg, intensity 18
57.89 deg, intensity 19

Crystal structure
```
data_CaBi2P2O10
_chemical_formula_sum 'Ca8 Bi16 P16 O80'
_space_group_name_H-M_alt 'F d d 2'
_space_group_IT_number 43
_space_group_name_Hall 'F 2 -2d'
_cell_length_a 13.840
_cell_length_b 15.690
_cell_length_c 8.174
_cell_angle_alpha 90.00
_cell_angle_beta 90.00
_cell_angle_gamma 90.00
loop_
_atom_site_label
_atom_site_type_symbol
_atom_site_fract_x
_atom_site_fract_y
_atom_site_fract_z
_atom_site_occupancy
Ca1 Ca 0.000 0.000 0.000 1
Bi1 Bi 0.119 0.374 0.914 1
P1 P 0.014 0.196 0.048 1
O1 O 0.001 0.047 0.543 1
O2 O 0.014 0.374 0.673 1
O3 O 0.027 0.147 0.882 1
O4 O 0.068 0.237 0.526 1
O5 O 0.108 0.244 0.095 1
```